Record 1
For ZnSb2O4, a GGA-PBE-relaxed structure gives the simulated X-ray diffraction stick pattern in this record (Cu Kα (λ = 1.5418 Å)).
Kinematic intensities with the Lorentz-polarization factor, no thermal factor.

Top 10 peaks for 2θ = 15–90°, low angle first:
2theta	I_rel
26.87	50
28.66	23
30.60	100
31.66	36
31.91	63
32.83	56
49.47	25
52.00	21
55.38	55
62.10	19

Crystal structure
Lattice parameters (Å, degrees): 6.6620 6.6620 6.6620 124.25 115.96 89.97
Positions (direct):
Zn 0.5000 0.0000 0.0000
Zn 0.5000 0.5000 0.5000
Sb 0.0000 0.0000 0.0000
Sb 0.0981 0.3481 0.7500
Sb 0.5000 0.0000 0.5000
Sb 0.9019 0.6519 0.2500
O 0.2425 0.2458 0.5033
O 0.2425 0.7392 0.9967
O 0.2891 0.2393 0.0499
O 0.3106 0.7607 0.5499
O 0.6894 0.2393 0.4501
O 0.7109 0.7607 0.9501
O 0.7575 0.2608 0.0033
O 0.7575 0.7542 0.4967

---

Record 2
For CsMg6GaO8, a GGA-PBE-relaxed structure gives the simulated X-ray diffraction stick pattern in this record (Cu Kα (λ = 1.5418 Å)).
Kinematic intensities with the Lorentz-polarization factor, no thermal factor.

Top 10 peaks for 2θ = 15–90°, low angle first:
2theta	I_rel
19.03	36
27.62	25
28.71	28
29.26	47
33.76	64
38.60	45
39.46	100
56.39	54
57.03	41
71.00	25

Crystal structure
Lattice parameters (Å, degrees): 4.5672 4.5672 9.3290 90.00 90.00 90.00
Positions (direct):
Cs 0.0000 0.0000 0.0000
Mg 0.0000 0.0000 0.5000
Mg 0.0000 0.5000 0.2773
Mg 0.0000 0.5000 0.7227
Mg 0.5000 0.0000 0.2773
Mg 0.5000 0.0000 0.7227
Mg 0.5000 0.5000 0.5000
Ga 0.5000 0.5000 0.0000
O 0.0000 0.0000 0.2893
O 0.0000 0.0000 0.7107
O 0.0000 0.5000 0.0000
O 0.0000 0.5000 0.5000
O 0.5000 0.0000 0.0000
O 0.5000 0.0000 0.5000
O 0.5000 0.5000 0.2663
O 0.5000 0.5000 0.7337

---

What did the first record say?
For ZnSb2O4, a GGA-PBE-relaxed structure gives the simulated X-ray diffraction stick pattern in this record (Cu Kα (λ = 1.5418 Å)).
Kinematic intensities with the Lorentz-polarization factor, no thermal factor.

Top 10 peaks for 2θ = 15–90°, low angle first:
2theta	I_rel
26.87	50
28.66	23
30.60	100
31.66	36
31.91	63
32.83	56
49.47	25
52.00	21
55.38	55
62.10	19

Crystal structure
Lattice parameters (Å, degrees): 6.6620 6.6620 6.6620 124.25 115.96 89.97
Positions (direct):
Zn 0.5000 0.0000 0.0000
Zn 0.5000 0.5000 0.5000
Sb 0.0000 0.0000 0.0000
Sb 0.0981 0.3481 0.7500
Sb 0.5000 0.0000 0.5000
Sb 0.9019 0.6519 0.2500
O 0.2425 0.2458 0.5033
O 0.2425 0.7392 0.9967
O 0.2891 0.2393 0.0499
O 0.3106 0.7607 0.5499
O 0.6894 0.2393 0.4501
O 0.7109 0.7607 0.9501
O 0.7575 0.2608 0.0033
O 0.7575 0.7542 0.4967

---

Repeat the second record exactly.
For CsMg6GaO8, a GGA-PBE-relaxed structure gives the simulated X-ray diffraction stick pattern in this record (Cu Kα (λ = 1.5418 Å)).
Kinematic intensities with the Lorentz-polarization factor, no thermal factor.

Top 10 peaks for 2θ = 15–90°, low angle first:
2theta	I_rel
19.03	36
27.62	25
28.71	28
29.26	47
33.76	64
38.60	45
39.46	100
56.39	54
57.03	41
71.00	25

Crystal structure
Lattice parameters (Å, degrees): 4.5672 4.5672 9.3290 90.00 90.00 90.00
Positions (direct):
Cs 0.0000 0.0000 0.0000
Mg 0.0000 0.0000 0.5000
Mg 0.0000 0.5000 0.2773
Mg 0.0000 0.5000 0.7227
Mg 0.5000 0.0000 0.2773
Mg 0.5000 0.0000 0.7227
Mg 0.5000 0.5000 0.5000
Ga 0.5000 0.5000 0.0000
O 0.0000 0.0000 0.2893
O 0.0000 0.0000 0.7107
O 0.0000 0.5000 0.0000
O 0.0000 0.5000 0.5000
O 0.5000 0.0000 0.0000
O 0.5000 0.0000 0.5000
O 0.5000 0.5000 0.2663
O 0.5000 0.5000 0.7337